Starting from a crystal structure in the Materials Project, relaxed with PBE, the XRD peak list of RbLiMg14O15 was simulated for Cu Ka.

Crystal structure
abc: 4.362 8.756 8.494
angles: 90.00 90.00 90.00
Atoms (fractional coordinates):
Rb (0.000, 0.000, 0.000)
Li (0.000, 0.500, 0.108)
Mg (0.000, 0.000, 0.569)
Mg (0.000, 0.250, 0.330)
Mg (0.000, 0.285, 0.853)
Mg (0.000, 0.500, 0.589)
Mg (0.000, 0.715, 0.853)
Mg (0.000, 0.750, 0.330)
Mg (0.500, 0.000, 0.327)
Mg (0.500, 0.000, 0.841)
Mg (0.500, 0.249, 0.595)
Mg (0.500, 0.263, 0.099)
Mg (0.500, 0.500, 0.339)
Mg (0.500, 0.500, 0.851)
Mg (0.500, 0.737, 0.099)
Mg (0.500, 0.751, 0.595)
O (0.000, 0.000, 0.344)
O (0.000, 0.235, 0.611)
O (0.000, 0.271, 0.091)
O (0.000, 0.500, 0.357)
O (0.000, 0.500, 0.826)
O (0.000, 0.729, 0.091)
O (0.000, 0.765, 0.611)
O (0.500, 0.000, 0.095)
O (0.500, 0.000, 0.607)
O (0.500, 0.239, 0.847)
O (0.500, 0.249, 0.348)
O (0.500, 0.500, 0.091)
O (0.500, 0.500, 0.600)
O (0.500, 0.751, 0.348)
O (0.500, 0.761, 0.847)

Main lines, in order of falling intensity (2θ from 10° to 90°):
2θ (°), I (rel.), (hkl)
41.40, 100, 2 0 0
41.24, 93, 0 4 0
42.57, 54, 0 0 4
59.87, 53, 2 4 0
35.94, 41, 1 2 2
60.89, 31, 2 0 4
60.77, 28, 0 4 4
76.21, 25, 2 4 4
31.12, 24, 1 1 2
14.53, 21, 0 1 1
29.33, 17, 0 2 2
23.28, 16, 0 1 2